Record 1
This entry pairs a crystal structure of CaSm2TcN4 with its theoretical X-ray diffraction stick pattern. Radiation: Cu Kα (weighted mean of Kα1 and Kα2). Structure: a cell relaxed with GGA-PBE.
Kinematic intensities with the Lorentz-polarization factor, no thermal factor.

Cell and atoms:
Cell lengths 6.282, 6.282, 11.927 Å; angles 90.00, 90.00, 147.50 degrees
Positions (direct):
Ca1 0.124 0.876 0.750
Ca2 0.876 0.124 0.250
Sm1 0.369 0.631 0.535
Sm2 0.369 0.631 0.965
Sm3 0.631 0.369 0.035
Sm4 0.631 0.369 0.465
Tc1 0.150 0.850 0.250
Tc2 0.850 0.150 0.750
N1 0.000 0.000 0.000
N2 0.000 0.000 0.500
N3 0.259 0.741 0.129
N4 0.259 0.741 0.371
N5 0.424 0.576 0.750
N6 0.576 0.424 0.250
N7 0.741 0.259 0.629
N8 0.741 0.259 0.871

Peak list (10 most intense, 10 to 90 degrees two-theta, most intense first)
two_theta	I_rel
37.17	100
30.43	84
29.63	55
16.47	51
29.97	40
40.68	35
42.64	29
14.86	28
34.87	26
61.97	24

=====

Record 2
This entry pairs a crystal structure of Li2Ac3GaAu6 with its theoretical X-ray diffraction stick pattern. Radiation: Cu Kα (weighted mean of Kα1 and Kα2). Structure: a cell relaxed with GGA-PBE.
Kinematic intensities with the Lorentz-polarization factor, no thermal factor.

Cell and atoms:
Cell lengths 6.452, 6.452, 8.557 Å; angles 90.00, 90.00, 120.00 degrees
Positions (direct):
Li1 0.333 0.667 0.045
Li2 0.667 0.333 0.955
Ac1 0.000 0.000 0.000
Ac2 0.333 0.667 0.627
Ac3 0.667 0.333 0.373
Ga1 0.000 0.000 0.500
Au1 0.181 0.363 0.286
Au2 0.181 0.819 0.286
Au3 0.363 0.181 0.714
Au4 0.637 0.819 0.286
Au5 0.819 0.181 0.714
Au6 0.819 0.637 0.714

Peak list (10 most intense, 10 to 90 degrees two-theta, most intense first)
two_theta	I_rel
33.75	100
38.48	55
10.34	25
18.97	23
57.10	22
45.42	21
34.83	21
20.76	19
35.33	18
31.36	17

=====

Record 3
This entry pairs a crystal structure of GaPtF6 with its theoretical X-ray diffraction stick pattern. Radiation: Cu Kα (weighted mean of Kα1 and Kα2). Structure: a cell relaxed with GGA-PBE.
Kinematic intensities with the Lorentz-polarization factor, no thermal factor.

Cell and atoms:
Cell lengths 5.150, 8.993, 5.160 Å; angles 90.00, 105.99, 90.00 degrees
Positions (direct):
Ga1 0.000 0.000 0.000
Ga2 0.500 0.500 0.000
Pt1 0.000 0.500 0.500
Pt2 0.500 0.000 0.500
F1 0.223 0.000 0.775
F2 0.250 0.142 0.248
F3 0.250 0.358 0.752
F4 0.250 0.642 0.752
F5 0.250 0.858 0.248
F6 0.277 0.500 0.225
F7 0.723 0.500 0.775
F8 0.750 0.142 0.752
F9 0.750 0.358 0.248
F10 0.750 0.642 0.248
F11 0.750 0.858 0.752
F12 0.777 0.000 0.225

Peak list (10 most intense, 10 to 90 degrees two-theta, most intense first)
two_theta	I_rel
23.77	100
19.74	85
30.48	45
41.91	40
41.62	36
20.48	22
62.38	22
37.13	18
43.99	17
48.65	15

=====

Record 4
This entry pairs a crystal structure of Mo8Pt with its theoretical X-ray diffraction stick pattern. Radiation: Cu Kα (weighted mean of Kα1 and Kα2). Structure: a cell relaxed with GGA-PBE.
Kinematic intensities with the Lorentz-polarization factor, no thermal factor.

Cell and atoms:
Cell lengths 6.872, 6.872, 6.872 Å; angles 93.13, 93.13, 152.99 degrees
Positions (direct):
Mo1 0.000 0.332 0.332
Mo2 0.000 0.668 0.668
Mo3 0.328 0.328 0.656
Mo4 0.328 0.672 0.000
Mo5 0.332 0.000 0.332
Mo6 0.668 0.000 0.668
Mo7 0.672 0.328 0.000
Mo8 0.672 0.672 0.344
Pt1 0.000 0.000 0.000

Peak list (10 most intense, 10 to 90 degrees two-theta, most intense first)
two_theta	I_rel
40.11	100
40.50	48
73.40	32
72.62	17
58.61	16
86.61	11
57.43	9
87.61	5
13.25	5
35.11	3

=====

Record 5
This entry pairs a crystal structure of HoEr5Cu6 with its theoretical X-ray diffraction stick pattern. Radiation: Cu Kα (weighted mean of Kα1 and Kα2). Structure: a cell relaxed with GGA-PBE.
Kinematic intensities with the Lorentz-polarization factor, no thermal factor.

Cell and atoms:
Cell lengths 7.714, 7.714, 6.824 Å; angles 90.00, 90.00, 143.13 degrees
Positions (direct):
Ho1 0.000 0.000 0.000
Er1 0.000 0.000 0.500
Er2 0.333 0.667 0.000
Er3 0.334 0.666 0.500
Er4 0.666 0.334 0.500
Er5 0.667 0.333 0.000
Cu1 0.167 0.833 0.250
Cu2 0.167 0.833 0.750
Cu3 0.500 0.500 0.251
Cu4 0.500 0.500 0.749
Cu5 0.833 0.167 0.250
Cu6 0.833 0.167 0.750

Peak list (10 most intense, 10 to 90 degrees two-theta, most intense first)
two_theta	I_rel
37.06	100
36.85	51
66.52	35
25.83	21
53.10	18
66.93	17
78.93	11
26.12	10
45.72	9
53.73	8

=====

Record 6
This entry pairs a crystal structure of RbMg2SnPd with its theoretical X-ray diffraction stick pattern. Radiation: Cu Kα (weighted mean of Kα1 and Kα2). Structure: a cell relaxed with GGA-PBE.
Kinematic intensities with the Lorentz-polarization factor, no thermal factor.

Cell and atoms:
Cell lengths 5.264, 5.264, 5.208 Å; angles 90.00, 90.00, 90.00 degrees
Positions (direct):
Rb1 0.000 0.000 0.000
Mg1 0.000 0.500 0.500
Mg2 0.500 0.000 0.500
Sn1 0.500 0.500 0.000
Pd1 0.500 0.500 0.500

Peak list (10 most intense, 10 to 90 degrees two-theta, most intense first)
two_theta	I_rel
23.91	100
34.06	78
16.84	66
49.22	55
42.36	44
29.50	39
34.44	38
61.21	28
48.94	28
66.69	23

=====

Record 7
This entry pairs a crystal structure of LaGa2ReO8 with its theoretical X-ray diffraction stick pattern. Radiation: Cu Kα (weighted mean of Kα1 and Kα2). Structure: a cell relaxed with GGA-PBE.
Kinematic intensities with the Lorentz-polarization factor, no thermal factor.

Cell and atoms:
Cell lengths 4.852, 4.854, 6.851 Å; angles 82.47, 82.46, 81.43 degrees
Positions (direct):
La1 0.000 0.000 0.000
Ga1 0.452 0.452 0.217
Ga2 0.548 0.548 0.783
Re1 0.000 0.000 0.500
O1 0.206 0.790 0.297
O2 0.211 0.796 0.703
O3 0.255 0.256 0.445
O4 0.327 0.328 0.993
O5 0.673 0.672 0.007
O6 0.745 0.744 0.555
O7 0.789 0.204 0.297
O8 0.794 0.210 0.703

Peak list (10 most intense, 10 to 90 degrees two-theta, most intense first)
two_theta	I_rel
24.57	100
30.67	98
28.19	77
34.26	69
18.61	59
37.74	35
21.56	29
52.29	29
51.48	28
39.97	27

=====

Record 8
This entry pairs a crystal structure of TaMnPb with its theoretical X-ray diffraction stick pattern. Radiation: Cu Kα (weighted mean of Kα1 and Kα2). Structure: a cell relaxed with GGA-PBE.
Kinematic intensities with the Lorentz-polarization factor, no thermal factor.

Cell and atoms:
Cell lengths 10.969, 3.302, 3.302 Å; angles 90.00, 107.45, 90.00 degrees
Positions (direct):
Ta1 0.000 0.000 0.000
Ta2 0.500 0.500 0.000
Mn1 0.113 0.500 0.613
Mn2 0.613 0.000 0.613
Pb1 0.297 0.000 0.297
Pb2 0.797 0.500 0.297

Peak list (10 most intense, 10 to 90 degrees two-theta, most intense first)
two_theta	I_rel
37.51	100
38.56	54
28.34	39
69.07	34
52.52	26
55.67	19
66.99	19
34.28	16
68.96	15
63.63	9

=====

Record 9
This entry pairs a crystal structure of Be8NbCo3 with its theoretical X-ray diffraction stick pattern. Radiation: Cu Kα (weighted mean of Kα1 and Kα2). Structure: a cell relaxed with GGA-PBE.
Kinematic intensities with the Lorentz-polarization factor, no thermal factor.

Cell and atoms:
Cell lengths 4.257, 4.257, 6.986 Å; angles 90.00, 90.00, 120.00 degrees
Positions (direct):
Be1 0.000 0.000 0.000
Be2 0.000 0.000 0.489
Be3 0.170 0.340 0.765
Be4 0.170 0.830 0.765
Be5 0.339 0.170 0.230
Be6 0.660 0.830 0.765
Be7 0.830 0.170 0.230
Be8 0.830 0.661 0.230
Nb1 0.667 0.333 0.556
Co1 0.333 0.667 0.058
Co2 0.333 0.667 0.445
Co3 0.667 0.333 0.924

Peak list (10 most intense, 10 to 90 degrees two-theta, most intense first)
two_theta	I_rel
46.11	100
42.47	94
24.14	86
50.19	72
27.35	60
25.50	50
35.40	37
80.29	35
64.47	24
51.25	21

=====

Record 10
This entry pairs a crystal structure of Zn5Pd4Ru with its theoretical X-ray diffraction stick pattern. Radiation: Cu Kα (weighted mean of Kα1 and Kα2). Structure: a cell relaxed with GGA-PBE.
Kinematic intensities with the Lorentz-polarization factor, no thermal factor.

Cell and atoms:
Cell lengths 3.086, 3.086, 15.021 Å; angles 90.00, 90.00, 90.00 degrees
Positions (direct):
Zn1 0.000 0.000 0.000
Zn2 0.000 0.000 0.201
Zn3 0.000 0.000 0.403
Zn4 0.000 0.000 0.597
Zn5 0.000 0.000 0.799
Pd1 0.500 0.500 0.100
Pd2 0.500 0.500 0.299
Pd3 0.500 0.500 0.701
Pd4 0.500 0.500 0.900
Ru1 0.500 0.500 0.500

Peak list (10 most intense, 10 to 90 degrees two-theta, most intense first)
two_theta	I_rel
41.97	100
41.37	52
75.85	33
59.94	17
77.08	16
61.76	8
28.93	6
89.90	5
29.74	3
51.78	2

=====

Record 11
This entry pairs a crystal structure of Tm2Sc3TaN6 with its theoretical X-ray diffraction stick pattern. Radiation: Cu Kα (weighted mean of Kα1 and Kα2). Structure: a cell relaxed with GGA-PBE.
Kinematic intensities with the Lorentz-polarization factor, no thermal factor.

Cell and atoms:
Cell lengths 5.628, 5.628, 5.588 Å; angles 99.66, 99.66, 120.01 degrees
Positions (direct):
Tm1 0.167 0.833 0.000
Tm2 0.833 0.167 0.000
Sc1 0.000 0.000 0.500
Sc2 0.335 0.665 0.500
Sc3 0.665 0.335 0.500
Ta1 0.500 0.500 0.000
N1 0.101 0.417 0.750
N2 0.268 0.268 0.250
N3 0.417 0.101 0.750
N4 0.583 0.899 0.250
N5 0.732 0.732 0.750
N6 0.899 0.583 0.250

Peak list (10 most intense, 10 to 90 degrees two-theta, most intense first)
two_theta	I_rel
39.32	100
33.82	93
16.85	72
32.32	46
56.66	33
56.99	32
34.07	30
67.79	26
43.06	22
59.56	18

=====

Record 12
This entry pairs a crystal structure of CsSnI2 with its theoretical X-ray diffraction stick pattern. Radiation: Cu Kα (weighted mean of Kα1 and Kα2). Structure: a cell relaxed with GGA-PBE.
Kinematic intensities with the Lorentz-polarization factor, no thermal factor.

Cell and atoms:
Cell lengths 7.183, 7.183, 19.312 Å; angles 90.00, 90.00, 90.00 degrees
Positions (direct):
Cs1 0.000 0.000 0.000
Cs2 0.000 0.500 0.250
Cs3 0.500 0.000 0.750
Cs4 0.500 0.500 0.500
Sn1 0.000 0.000 0.500
Sn2 0.000 0.500 0.750
Sn3 0.500 0.000 0.250
Sn4 0.500 0.500 0.000
I1 0.169 0.250 0.625
I2 0.250 0.669 0.875
I3 0.250 0.831 0.375
I4 0.331 0.250 0.125
I5 0.669 0.750 0.125
I6 0.750 0.169 0.375
I7 0.750 0.331 0.875
I8 0.831 0.750 0.625

Peak list (10 most intense, 10 to 90 degrees two-theta, most intense first)
two_theta	I_rel
19.75	100
31.04	66
32.95	28
40.81	21
35.34	15
49.09	12
28.16	12
37.25	11
52.28	10
50.55	9